Entry 1:
This entry pairs a crystal structure of Co3TeO8 with its calculated powder diffraction line list. Radiation: a wavelength of 1.5418 Å. Structure: a crystal structure in the Materials Project, relaxed with GGA+U.
Lines closer than 0.1° are merged.

Most intense lines, 2θ = 10–90°, by angle:
2θ = 18.30°, d 4.847, rel. 7.6; 2θ = 18.96°, d 4.680, rel. 100.0; 2θ = 35.82°, d 2.507, rel. 17.5; 2θ = 36.54°, d 2.459, rel. 28.0; 2θ = 38.47°, d 2.340, rel. 13.4; 2θ = 44.32°, d 2.044, rel. 47.0; 2θ = 49.16°, d 1.853, rel. 11.0; 2θ = 58.74°, d 1.572, rel. 10.4; 2θ = 63.54°, d 1.464, rel. 13.1; 2θ = 65.40°, d 1.427, rel. 12.7

Cell and atoms:
```
Co3TeO8
1.0
2.8541 1.6478 4.8469
-2.8541 1.6478 4.8469
0.0000 -3.2956 4.8469
Co Te O
3 1 8
direct
0.0000 0.5000 0.5000 Co
0.5000 0.0000 0.5000 Co
0.5000 0.5000 0.0000 Co
0.5000 0.5000 0.5000 Te
0.2579 0.2579 0.7168 O
0.2579 0.7168 0.2579 O
0.2731 0.2731 0.2731 O
0.2832 0.7421 0.7421 O
0.7168 0.2579 0.2579 O
0.7269 0.7269 0.7269 O
0.7421 0.2832 0.7421 O
0.7421 0.7421 0.2832 O
```

Entry 2:
This entry pairs a crystal structure of Ti3Co3Te2O16 with its calculated powder diffraction line list. Radiation: a wavelength of 1.5418 Å. Structure: a crystal structure in the Materials Project, relaxed with GGA+U.
Lines closer than 0.1° are merged.

Most intense lines, 2θ = 10–90°, by angle:
2θ = 19.26°, d 4.609, rel. 34.6; 2θ = 19.43°, d 4.567, rel. 64.3; 2θ = 19.66°, d 4.515, rel. 100.0; 2θ = 25.53°, d 3.489, rel. 22.4; 2θ = 25.86°, d 3.445, rel. 19.5; 2θ = 33.47°, d 2.678, rel. 21.2; 2θ = 35.12°, d 2.555, rel. 26.2; 2θ = 35.64°, d 2.519, rel. 43.8; 2θ = 35.90°, d 2.502, rel. 54.8; 2θ = 61.51°, d 1.508, rel. 25.9

Cell and atoms:
```
Ti3Co3Te2O16
1.0
5.2321 -3.0014 0.0000
5.2321 3.0014 0.0000
-0.2385 0.0000 9.2946
Ti Co Te O
3 3 2 16
direct
0.0000 0.0000 0.0000 Ti
0.3269 0.8224 0.4974 Ti
0.8224 0.3269 0.4974 Ti
0.3340 0.3340 0.4987 Co
0.5096 0.9980 0.9923 Co
0.9980 0.5096 0.9923 Co
0.4928 0.4928 0.2178 Te
0.8244 0.8244 0.7190 Te
0.1177 0.6951 0.8580 O
0.1546 0.1546 0.4132 O
0.1650 0.1650 0.9128 O
0.2101 0.6527 0.3580 O
0.3320 0.8069 0.1039 O
0.3329 0.3329 0.1138 O
0.5113 0.9805 0.6061 O
0.5126 0.5126 0.6042 O
0.6386 0.6386 0.3608 O
0.6527 0.2101 0.3580 O
0.6864 0.6864 0.8611 O
0.6951 0.1177 0.8580 O
0.8069 0.3320 0.1039 O
0.8345 0.8345 0.0964 O
0.9805 0.5113 0.6061 O
0.9805 0.9805 0.6011 O
```

> Number 1 is which compound?

Co3TeO8